Entry 1:
Calculated X-ray powder pattern of K2ErSbS4 for copper Kα, from a DFT-relaxed cell (PBE, Alexandria).
Intensities are scaled so that the largest is 100.

The 6 most intense peaks (10° ≤ 2θ ≤ 90°), in order of rising 2θ:
Position (°2θ)	d [Å]	I (rel.)
12.91	6.858	41.8
13.03	6.793	18.6
25.98	3.429	23.0
26.24	3.397	22.0
30.24	2.956	100.0
43.29	2.090	45.7

```
K2ErSbS4
1.0
-4.149 4.209 5.914
4.149 -4.209 5.914
4.149 4.209 -5.914
K Er Sb S
4 2 2 8
direct
0.000 0.000 0.000
0.500 0.000 0.000
0.500 0.000 0.500
0.500 0.500 0.500
0.000 0.000 0.500
0.000 0.500 0.000
0.000 0.500 0.500
0.500 0.500 0.000
0.204 0.736 0.467
0.231 0.264 0.967
0.233 0.258 0.526
0.233 0.707 0.974
0.767 0.293 0.026
0.767 0.742 0.474
0.769 0.736 0.033
0.796 0.264 0.533
```

---

Entry 2:
Calculated X-ray powder pattern of KTb4ErS8 for copper Kα, from a DFT-relaxed cell (PBE, Alexandria).
Intensities are scaled so that the largest is 100.

The 6 most intense peaks (10° ≤ 2θ ≤ 90°), in order of rising 2θ:
Position (°2θ)	d [Å]	I (rel.)
13.17	6.721	47.2
25.35	3.513	100.0
30.73	2.910	48.5
40.23	2.242	51.5
43.89	2.063	42.4
44.13	2.052	42.0

```
KTb4ErS8
1.0
4.126 2.382 6.685
-4.126 2.382 6.685
0.000 -4.764 6.685
K Tb Er S
1 4 1 8
direct
0.000 0.000 0.000
0.110 0.628 0.628
0.248 0.248 0.248
0.628 0.110 0.628
0.628 0.628 0.110
0.628 0.628 0.628
0.381 0.381 0.381
0.383 0.383 0.850
0.383 0.850 0.383
0.424 0.855 0.855
0.850 0.383 0.383
0.855 0.424 0.855
0.855 0.855 0.424
0.858 0.858 0.858
```

---

Entry 3:
Calculated X-ray powder pattern of K2Er2TeS6 for copper Kα, from a DFT-relaxed cell (PBE, Alexandria).
Intensities are scaled so that the largest is 100.

The 6 most intense peaks (10° ≤ 2θ ≤ 90°), in order of rising 2θ:
Position (°2θ)	d [Å]	I (rel.)
11.72	7.554	100.0
26.30	3.389	28.6
30.48	2.933	84.6
38.24	2.353	23.6
41.40	2.181	20.0
45.81	1.981	18.4

```
K2Er2TeS6
1.0
3.434 -5.925 0.000
3.434 5.925 0.000
-2.268 0.000 7.554
K Er Te S
2 2 1 6
direct
0.167 0.833 0.000
0.833 0.167 0.000
0.334 0.666 0.500
0.666 0.334 0.500
0.000 0.000 0.500
0.064 0.393 0.695
0.262 0.262 0.305
0.393 0.064 0.695
0.607 0.936 0.305
0.738 0.738 0.695
0.936 0.607 0.305
```

---

Entry 4:
Calculated X-ray powder pattern of K3Er2TiS6 for copper Kα, from a DFT-relaxed cell (PBE, Alexandria).
Intensities are scaled so that the largest is 100.

The 6 most intense peaks (10° ≤ 2θ ≤ 90°), in order of rising 2θ:
Position (°2θ)	d [Å]	I (rel.)
12.07	7.335	68.8
27.55	3.238	27.1
31.00	2.885	100.0
39.09	2.304	17.9
42.32	2.135	34.3
46.42	1.956	31.9

```
K3Er2TiS6
1.0
3.388 -5.870 0.000
3.388 5.870 0.000
-2.264 0.000 7.335
K Er Ti S
3 2 1 6
direct
0.000 0.000 0.000
0.330 0.670 0.000
0.670 0.330 0.000
0.166 0.834 0.500
0.834 0.166 0.500
0.500 0.500 0.500
0.119 0.435 0.304
0.250 0.250 0.696
0.435 0.119 0.304
0.565 0.881 0.696
0.750 0.750 0.304
0.881 0.565 0.696
```

---

Entry 5:
Calculated X-ray powder pattern of K3YEr2S6 for copper Kα, from a DFT-relaxed cell (PBE, Alexandria).
Intensities are scaled so that the largest is 100.

The 6 most intense peaks (10° ≤ 2θ ≤ 90°), in order of rising 2θ:
Position (°2θ)	d [Å]	I (rel.)
12.02	7.365	69.8
25.84	3.447	20.9
26.79	3.328	30.3
30.29	2.951	100.0
41.71	2.166	35.0
44.99	2.015	33.2

```
K3YEr2S6
1.0
3.490 -6.045 0.000
3.490 6.045 0.000
-2.327 0.000 7.365
K Y Er S
3 1 2 6
direct
0.000 0.000 0.000
0.334 0.666 0.000
0.666 0.334 0.000
0.500 0.500 0.500
0.167 0.833 0.500
0.833 0.167 0.500
0.097 0.433 0.299
0.231 0.231 0.701
0.433 0.097 0.299
0.567 0.903 0.701
0.769 0.769 0.299
0.903 0.567 0.701
```

---

Entry 6:
Calculated X-ray powder pattern of K2ErZrS4 for copper Kα, from a DFT-relaxed cell (PBE, Alexandria).
Intensities are scaled so that the largest is 100.

The 6 most intense peaks (10° ≤ 2θ ≤ 90°), in order of rising 2θ:
Position (°2θ)	d [Å]	I (rel.)
11.96	7.397	68.3
27.76	3.214	17.7
31.07	2.879	100.0
39.02	2.308	18.2
42.30	2.137	23.5
46.61	1.949	20.9

```
K2ErZrS4
1.0
6.765 0.000 0.000
0.000 3.872 0.000
-2.222 0.000 7.397
K Er Zr S
2 1 1 4
direct
0.000 0.000 0.000
0.500 0.500 0.000
0.000 0.500 0.500
0.500 0.000 0.500
0.243 0.000 0.702
0.275 0.500 0.300
0.725 0.500 0.700
0.757 0.000 0.298
```

---

Entry 7:
Calculated X-ray powder pattern of K3Er3SbTe8 for copper Kα, from a DFT-relaxed cell (PBE, Alexandria).
Intensities are scaled so that the largest is 100.

The 6 most intense peaks (10° ≤ 2θ ≤ 90°), in order of rising 2θ:
Position (°2θ)	d [Å]	I (rel.)
10.50	8.427	62.8
27.32	3.265	100.0
34.20	2.622	24.9
36.94	2.433	34.4
41.00	2.201	36.2
46.11	1.968	16.0

```
K3Er3SbTe8
1.0
7.634 -4.398 0.000
7.634 4.398 0.000
-5.099 0.000 8.427
K Er Sb Te
3 3 1 8
direct
0.000 0.000 0.000
0.000 0.500 0.000
0.500 0.000 0.000
0.000 0.500 0.500
0.500 0.000 0.500
0.500 0.500 0.500
0.000 0.000 0.500
0.235 0.235 0.704
0.235 0.735 0.704
0.264 0.264 0.293
0.265 0.765 0.296
0.735 0.235 0.704
0.736 0.736 0.707
0.765 0.265 0.296
0.765 0.765 0.296
```

---

Entry 8:
Calculated X-ray powder pattern of KErSe4 for copper Kα, from a DFT-relaxed cell (PBE, Alexandria).
Intensities are scaled so that the largest is 100.

The 6 most intense peaks (10° ≤ 2θ ≤ 90°), in order of rising 2θ:
Position (°2θ)	d [Å]	I (rel.)
10.56	8.379	100.0
29.39	3.039	85.3
33.83	2.650	61.2
35.87	2.504	30.6
38.12	2.361	21.3
45.95	1.975	47.2

```
KErSe4
1.0
6.245 0.000 0.000
0.000 6.245 0.000
0.000 0.000 8.379
K Er Se
2 2 8
direct
0.250 0.250 0.000
0.750 0.750 0.000
0.250 0.250 0.500
0.750 0.750 0.500
0.112 0.612 0.296
0.112 0.888 0.704
0.388 0.612 0.704
0.388 0.888 0.296
0.612 0.112 0.704
0.612 0.388 0.296
0.888 0.112 0.296
0.888 0.388 0.704
```

---

Entry 9:
Calculated X-ray powder pattern of K2Er2SnSe6 for copper Kα, from a DFT-relaxed cell (PBE, Alexandria).
Intensities are scaled so that the largest is 100.

The 6 most intense peaks (10° ≤ 2θ ≤ 90°), in order of rising 2θ:
Position (°2θ)	d [Å]	I (rel.)
11.16	7.925	89.9
29.40	3.038	100.0
36.69	2.449	28.9
39.62	2.275	34.2
44.39	2.041	34.5
45.92	1.976	18.6

```
K2Er2SnSe6
1.0
3.535 -6.121 0.000
3.535 6.121 0.000
-2.367 0.000 7.925
K Er Sn Se
2 2 1 6
direct
0.168 0.832 0.000
0.832 0.168 0.000
0.332 0.668 0.500
0.668 0.332 0.500
0.000 0.000 0.500
0.069 0.392 0.699
0.253 0.253 0.304
0.392 0.069 0.699
0.608 0.931 0.301
0.747 0.747 0.696
0.931 0.608 0.301
```

---

Entry 10:
Calculated X-ray powder pattern of K4TbEr3Te8 for copper Kα, from a DFT-relaxed cell (PBE, Alexandria).
Intensities are scaled so that the largest is 100.

The 6 most intense peaks (10° ≤ 2θ ≤ 90°), in order of rising 2θ:
Position (°2θ)	d [Å]	I (rel.)
10.74	8.241	49.5
27.15	3.285	100.0
34.35	2.611	20.1
37.21	2.417	34.7
40.29	2.239	36.9
49.26	1.850	19.1

```
K4TbEr3Te8
1.0
4.477 2.585 8.241
-4.477 2.585 8.241
0.000 -5.170 8.241
K Tb Er Te
4 1 3 8
direct
0.000 0.000 0.000
0.000 0.500 0.500
0.500 0.000 0.500
0.500 0.500 0.000
0.500 0.500 0.500
0.000 0.000 0.500
0.000 0.500 0.000
0.500 0.000 0.000
0.233 0.737 0.737
0.236 0.236 0.236
0.263 0.263 0.767
0.263 0.767 0.263
0.737 0.233 0.737
0.737 0.737 0.233
0.764 0.764 0.764
0.767 0.263 0.263
```

---

Entry 11:
Calculated X-ray powder pattern of K2Er3Te6 for copper Kα, from a DFT-relaxed cell (PBE, Alexandria).
Intensities are scaled so that the largest is 100.

The 6 most intense peaks (10° ≤ 2θ ≤ 90°), in order of rising 2θ:
Position (°2θ)	d [Å]	I (rel.)
10.26	8.622	71.9
27.54	3.239	100.0
34.10	2.629	25.7
36.74	2.446	36.8
41.81	2.160	34.7
50.80	1.797	18.2

```
K2Er3Te6
1.0
3.742 -6.481 0.000
3.742 6.481 0.000
-2.498 0.000 8.622
K Er Te
2 3 6
direct
0.167 0.833 0.000
0.833 0.167 0.000
0.000 0.000 0.500
0.332 0.668 0.500
0.668 0.332 0.500
0.072 0.402 0.707
0.267 0.267 0.294
0.402 0.072 0.707
0.598 0.928 0.293
0.733 0.733 0.706
0.928 0.598 0.293
```

---

Entry 12:
Calculated X-ray powder pattern of K3Er3VTe8 for copper Kα, from a DFT-relaxed cell (PBE, Alexandria).
Intensities are scaled so that the largest is 100.

The 6 most intense peaks (10° ≤ 2θ ≤ 90°), in order of rising 2θ:
Position (°2θ)	d [Å]	I (rel.)
10.36	8.542	71.0
27.76	3.214	100.0
34.39	2.608	28.1
37.06	2.426	33.5
42.13	2.145	35.8
45.98	1.974	18.3

```
K3Er3VTe8
1.0
7.436 -4.286 0.000
7.436 4.286 0.000
-4.963 0.000 8.542
K Er V Te
3 3 1 8
direct
0.000 0.000 0.000
0.000 0.500 0.000
0.500 0.000 0.000
0.000 0.500 0.500
0.500 0.000 0.500
0.500 0.500 0.500
0.000 0.000 0.500
0.220 0.220 0.694
0.220 0.755 0.694
0.245 0.780 0.306
0.264 0.264 0.291
0.736 0.736 0.709
0.755 0.220 0.694
0.780 0.245 0.306
0.780 0.780 0.306
```